Starting from DFT lattice parameters and positions (GGA+U), the X-ray powder pattern of CsV3Te2O12 was computed for Cu Kα (weighted mean of Kα1 and Kα2).
No peak broadening, texture or thermal motion is included.

Most intense lines, 2θ from 10° to 90°, by angle:
2θ (°), I_rel, hkl
24.55, 42, 1 1 0
26.49, 20, 1 0 3
28.79, 100, 1 1 2
29.40, 19, 2 0 1
45.92, 26, 3 0 2
50.32, 23, 2 2 0

Structural model:
```
36
Lattice="7.254 0.000 0.000 -3.627 6.282 0.000 0.000 0.000 11.953" Properties=species:S:1:pos:R:3 pbc="T T T"
Cs 0.000 4.188 0.000
Cs 3.627 2.094 5.976
V -1.954 4.994 3.941
V 0.279 2.092 3.941
V 1.951 0.805 9.917
V 1.675 5.477 3.941
V 3.348 4.189 9.917
V 5.581 1.288 9.917
Te 0.000 0.000 1.164
Te 0.000 0.000 7.141
Te 0.000 4.188 6.789
Te 3.627 2.094 0.812
O -1.361 3.413 3.723
O -0.022 1.554 10.273
O -0.046 1.671 2.111
O -2.269 5.524 10.273
O -2.157 5.486 2.111
O -0.052 2.503 5.913
O -1.433 5.075 5.913
O 1.335 0.797 4.297
O 1.424 0.876 8.087
O 2.142 1.297 11.889
O 1.351 3.397 3.723
O 0.009 5.753 3.723
O 3.617 0.528 9.700
O 2.276 2.885 9.700
O 1.485 4.985 5.913
O 2.203 5.406 2.111
O 2.292 5.485 10.273
O 5.060 1.206 11.889
O 3.679 3.779 11.889
O 5.783 0.795 8.087
O 5.896 0.758 4.297
O 3.673 4.611 8.087
O 3.649 4.727 4.297
O 4.987 2.868 9.700
```